Calculated powder diffractogram of In4HgBi2Pb for Cu Kα (weighted mean of Kα1 and Kα2), from a crystal structure in Alexandria, relaxed with PBE.

Peak list (12 most intense, 10 to 90 degrees two-theta, by angle)
2theta	I (rel.)	(hkl)
28.30	507	0 0 4
28.45	1000	2 2 0
38.89	219	0 4 0
40.56	781	2 2 4
42.39	173	4 0 0
48.79	229	0 4 4
51.75	193	4 0 4
58.88	131	4 4 0
66.35	183	2 2 8
66.59	181	4 4 4
71.56	147	2 6 4
76.30	124	6 2 4

Cell and atoms:
Unit cell a=8.530 b=9.262 c=12.614 alpha=90.00 beta=90.00 gamma=90.00
Space group Imma (No. 74)
Asymmetric unit:
In  0.000  0.004  0.250 x8
In  0.250  0.250  0.002 x8
Hg  0.000  0.000  0.000 x4
Bi  0.000  0.000  0.500 x4
Bi  0.250  0.250  0.250 x4
Pb  0.250  0.250  0.750 x4